Record 1
# Tl3AsS3
Theoretical powder X-ray diffraction pattern, Cu Kα (weighted mean of Kα1 and Kα2). Input: a PBE-relaxed structure.

Principal peaks in the range 2θ from 15° to 90°, most intense first:
d/Å  2theta  I (rel.)
3.683  24.16  100
2.849  31.40  71
2.767  32.35  65
1.726  53.07  44
2.951  30.28  43
1.844  49.42  41
3.342  26.67  39
2.467  36.42  25
5.534  16.01  23
2.414  37.26  22

Structural model:
```
data_Tl3AsS3
_space_group_name_H-M_alt 'P 1'
_space_group_IT_number 1
_cell_length_a 6.1907
_cell_length_b 6.1907
_cell_length_c 6.1907
_cell_angle_alpha 105.70
_cell_angle_beta 105.70
_cell_angle_gamma 105.70
loop_
_space_group_symop_operation_xyz
'x,y,z'
loop_
_atom_site_label
_atom_site_type_symbol
_atom_site_fract_x
_atom_site_fract_y
_atom_site_fract_z
Tl1 Tl 0.0684 0.4658 0.4658
Tl2 Tl 0.4658 0.0684 0.4658
Tl3 Tl 0.4658 0.4658 0.0684
As1 As 0.8913 0.8913 0.8913
S1 S 0.5146 0.8761 0.8761
S2 S 0.8761 0.5146 0.8761
S3 S 0.8761 0.8761 0.5146
```

=====

Record 2
# Tl3AsS3
Theoretical powder X-ray diffraction pattern, Cu Kα (weighted mean of Kα1 and Kα2). Input: a PBE-relaxed structure.

Principal peaks in the range 2θ from 15° to 90°, most intense first:
d/Å  2theta  I (rel.)
3.415  26.10  100
2.921  30.61  89
3.274  27.24  64
2.749  32.57  44
3.724  23.89  44
3.385  26.33  35
1.688  54.36  31
3.843  23.14  30
2.522  35.60  29
2.909  30.73  29

Structural model:
```
data_Tl3AsS3
_space_group_name_H-M_alt 'P 1'
_space_group_IT_number 1
_cell_length_a 5.8185
_cell_length_b 12.7049
_cell_length_c 22.3714
_cell_angle_alpha 90.00
_cell_angle_beta 90.00
_cell_angle_gamma 90.00
loop_
_space_group_symop_operation_xyz
'x,y,z'
loop_
_atom_site_label
_atom_site_type_symbol
_atom_site_fract_x
_atom_site_fract_y
_atom_site_fract_z
Tl1 Tl 0.0460 0.0674 0.1906
Tl2 Tl 0.0460 0.4326 0.6906
Tl3 Tl 0.0786 0.6617 0.4763
Tl4 Tl 0.0786 0.8383 0.9763
Tl5 Tl 0.0826 0.2201 0.8175
Tl6 Tl 0.0826 0.2799 0.3175
Tl7 Tl 0.4174 0.7201 0.8175
Tl8 Tl 0.4174 0.7799 0.3175
Tl9 Tl 0.4214 0.1617 0.4763
Tl10 Tl 0.4214 0.3383 0.9763
Tl11 Tl 0.4540 0.5674 0.1906
Tl12 Tl 0.4540 0.9326 0.6906
Tl13 Tl 0.5460 0.0674 0.3094
Tl14 Tl 0.5460 0.4326 0.8094
Tl15 Tl 0.5786 0.6617 0.0237
Tl16 Tl 0.5786 0.8383 0.5237
Tl17 Tl 0.5826 0.2201 0.6825
Tl18 Tl 0.5826 0.2799 0.1825
Tl19 Tl 0.9174 0.7201 0.6825
Tl20 Tl 0.9174 0.7799 0.1825
Tl21 Tl 0.9214 0.1617 0.0237
Tl22 Tl 0.9214 0.3383 0.5237
Tl23 Tl 0.9540 0.5674 0.3094
Tl24 Tl 0.9540 0.9326 0.8094
As1 As 0.0461 0.0495 0.5871
As2 As 0.0461 0.4505 0.0871
As3 As 0.4539 0.5495 0.5871
As4 As 0.4539 0.9505 0.0871
As5 As 0.5461 0.0495 0.9129
As6 As 0.5461 0.4505 0.4129
As7 As 0.9539 0.5495 0.9129
As8 As 0.9539 0.9505 0.4129
S1 S 0.1150 0.1049 0.6823
S2 S 0.1150 0.3951 0.1823
S3 S 0.1195 0.6259 0.0914
S4 S 0.1195 0.8741 0.5914
S5 S 0.1525 0.0540 0.9148
S6 S 0.1525 0.4460 0.4148
S7 S 0.3475 0.5540 0.9148
S8 S 0.3475 0.9460 0.4148
S9 S 0.3805 0.1259 0.0914
S10 S 0.3805 0.3741 0.5914
S11 S 0.3850 0.6049 0.6823
S12 S 0.3850 0.8951 0.1823
S13 S 0.6150 0.1049 0.8177
S14 S 0.6150 0.3951 0.3177
S15 S 0.6195 0.6259 0.4086
S16 S 0.6195 0.8741 0.9086
S17 S 0.6525 0.0540 0.5852
S18 S 0.6525 0.4460 0.0852
S19 S 0.8475 0.5540 0.5852
S20 S 0.8475 0.9460 0.0852
S21 S 0.8805 0.1259 0.4086
S22 S 0.8805 0.3741 0.9086
S23 S 0.8850 0.6049 0.8177
S24 S 0.8850 0.8951 0.3177
```